# 1
# ReH8I6N2
Calculated powder diffraction line list, Cu Kα X-rays. Input: a crystal structure in OQMD, relaxed with PBE.
Intensities are scaled so that the largest is 100.

Top 8 peaks for 2θ from 10° to 90°, low angle first:
| 2θ/deg | I_rel | index |
| --- | --- | --- |
| 13.59 | 100 | 1 0 1 |
| 14.95 | 59 | 0 0 2 |
| 16.07 | 77 | 1 1 0 |
| 27.37 | 95 | 2 0 2 |
| 30.17 | 63 | 0 0 4 |
| 32.46 | 75 | 2 2 0 |
| 36.42 | 46 | 3 1 0 |
| 44.90 | 56 | 2 2 4 |

Atomic structure:
a = 7.801 Å, b = 7.801 Å, c = 11.850 Å
α = 90.00°, β = 90.00°, γ = 90.00°
Space group P4/mnc (No. 128)
Symmetry-distinct sites (fractional):
Re 0.000 0.000 0.000 [2 per cell]
H 0.002 0.392 0.199 [16 per cell]
I 0.000 0.000 0.232 [4 per cell]
I 0.196 0.291 0.000 [8 per cell]
N 0.000 0.500 0.250 [4 per cell]


# 2
# NdH2I
Calculated powder diffraction line list, Cu Kα X-rays. Input: a crystal structure in OQMD, relaxed with PBE.
Intensities are scaled so that the largest is 100.

Top 8 peaks for 2θ from 10° to 90°, low angle first:
| 2θ/deg | I_rel | index |
| --- | --- | --- |
| 15.81 | 21 | 0 0 6 |
| 26.25 | 25 | 0 1 2 |
| 28.98 | 100 | 0 1 5 |
| 31.87 | 74 | 0 0 12 |
| 33.51 | 21 | 0 1 8 |
| 43.66 | 27 | 1 0 13 |
| 45.32 | 41 | 1 1 0 |
| 56.49 | 36 | 1 1 12 |

Atomic structure:
a = 4.0019 Å, b = 4.0019 Å, c = 33.6284 Å
α = 90.00°, β = 90.00°, γ = 120.00°
Space group R-3m (No. 166, hexagonal axes)
Symmetry-distinct sites (fractional):
Nd 0.0000 0.0000 0.1171 [6 per cell]
H 0.0000 0.0000 0.1872 [6 per cell]
H 0.0000 0.0000 0.4549 [6 per cell]
I 0.0000 0.0000 0.2819 [6 per cell]


# 3
# SmH4I3O11
Calculated powder diffraction line list, Cu Kα X-rays. Input: a crystal structure in OQMD, relaxed with PBE.
Intensities are scaled so that the largest is 100.

Top 8 peaks for 2θ from 10° to 90°, low angle first:
| 2θ/deg | I_rel | index |
| --- | --- | --- |
| 13.40 | 34 | 0 1 0 |
| 15.37 | 44 | 1 -1 0 |
| 24.46 | 100 | 1 1 -2 |
| 25.24 | 44 | 1 -1 2 |
| 26.35 | 39 | 1 0 2 |
| 27.02 | 88 | -1 2 1 |
| 28.55 | 67 | 2 0 0 |
| 51.05 | 31 | 2 -1 4 |

Atomic structure:
a = 7.022 Å, b = 7.166 Å, c = 10.468 Å
α = 94.32°, β = 105.92°, γ = 110.17°
Space group P-1 (No. 2)
Symmetry-distinct sites (fractional):
Sm 0.117 0.413 0.289 [2 per cell]
H 0.121 0.260 0.901 [2 per cell]
H 0.193 0.073 0.892 [2 per cell]
H 0.245 0.081 0.355 [2 per cell]
H 0.295 0.078 0.213 [2 per cell]
I 0.276 0.355 0.677 [2 per cell]
I 0.281 0.732 0.043 [2 per cell]
I 0.311 0.855 0.575 [2 per cell]
O 0.075 0.632 0.126 [2 per cell]
O 0.094 0.868 0.634 [2 per cell]
O 0.111 0.821 0.916 [2 per cell]
O 0.137 0.730 0.401 [2 per cell]
O 0.232 0.139 0.272 [2 per cell]
O 0.238 0.568 0.761 [2 per cell]
O 0.243 0.222 0.894 [2 per cell]
O 0.299 0.474 0.528 [2 per cell]
O 0.388 0.114 0.536 [2 per cell]
O 0.435 0.561 0.229 [2 per cell]
O 0.444 0.976 0.155 [2 per cell]